Starting from DFT lattice parameters and positions (GGA+U), the powder XRD pattern of Sr10Fe10O27 was simulated for a wavelength of 1.5418 Å.
Neutral-atom scattering factors, no anomalous dispersion.

Atomic structure:
```
Sr10Fe10O27
1.0
3.866 0.000 0.000
0.000 7.910 0.000
0.000 0.000 19.703
Sr Fe O
10 10 27
Direct
0.000 0.233 0.000 Sr
0.000 0.235 0.802 Sr
0.000 0.243 0.600 Sr
0.000 0.250 0.203 Sr
0.000 0.258 0.406 Sr
0.000 0.742 0.406 Sr
0.000 0.750 0.203 Sr
0.000 0.757 0.600 Sr
0.000 0.765 0.802 Sr
0.000 0.767 0.000 Sr
0.500 0.000 0.104 Fe
0.500 0.000 0.303 Fe
0.500 0.000 0.500 Fe
0.500 0.000 0.702 Fe
0.500 0.000 0.901 Fe
0.500 0.500 0.103 Fe
0.500 0.500 0.302 Fe
0.500 0.500 0.502 Fe
0.500 0.500 0.697 Fe
0.500 0.500 0.910 Fe
0.000 0.000 0.104 O
0.000 0.000 0.501 O
0.000 0.000 0.702 O
0.000 0.000 0.903 O
0.000 0.500 0.299 O
0.000 0.500 0.502 O
0.000 0.500 0.719 O
0.000 0.500 0.889 O
0.500 0.000 0.001 O
0.500 0.000 0.207 O
0.500 0.000 0.397 O
0.500 0.000 0.605 O
0.500 0.000 0.802 O
0.500 0.237 0.301 O
0.500 0.248 0.502 O
0.500 0.259 0.897 O
0.500 0.260 0.709 O
0.500 0.263 0.102 O
0.500 0.500 0.007 O
0.500 0.500 0.197 O
0.500 0.500 0.403 O
0.500 0.500 0.602 O
0.500 0.737 0.102 O
0.500 0.740 0.709 O
0.500 0.741 0.897 O
0.500 0.752 0.502 O
0.500 0.763 0.301 O
```

The 8 most intense peaks (15° ≤ 2θ ≤ 90°), by angle:
2θ/deg  d/Å  intensity
32.06  2.791  46.9
32.41  2.762  100.0
45.89  1.977  17.6
46.07  1.970  17.4
47.00  1.933  17.0
57.32  1.607  18.5
57.43  1.605  18.4
58.03  1.589  17.0

Starting from DFT lattice parameters and positions (GGA+U), the powder XRD pattern of Sr4Fe4O11 was simulated for a wavelength of 1.5418 Å.
Neutral-atom scattering factors, no anomalous dispersion.

Atomic structure:
```
Sr4Fe4O11
1.0
3.910 -5.568 0.000
3.910 5.568 0.000
0.000 0.000 5.543
Sr Fe O
4 4 11
Direct
0.000 0.000 0.000 Sr
0.242 0.758 0.500 Sr
0.500 0.500 0.000 Sr
0.758 0.242 0.500 Sr
0.000 0.500 0.000 Fe
0.246 0.246 0.500 Fe
0.500 0.000 0.000 Fe
0.754 0.754 0.500 Fe
0.000 0.000 0.500 O
0.159 0.401 0.260 O
0.159 0.401 0.740 O
0.226 0.774 0.000 O
0.401 0.159 0.260 O
0.401 0.159 0.740 O
0.599 0.841 0.260 O
0.599 0.841 0.740 O
0.774 0.226 0.000 O
0.841 0.599 0.260 O
0.841 0.599 0.740 O
```

The 8 most intense peaks (15° ≤ 2θ ≤ 90°), by angle:
2θ/deg  d/Å  intensity
32.15  2.784  17.5
32.30  2.771  100.0
46.22  1.964  28.0
46.44  1.955  13.0
57.42  1.605  15.4
57.63  1.599  30.2
67.61  1.386  18.9
76.78  1.241  9.5

What did the first record say?
Starting from DFT lattice parameters and positions (GGA+U), the powder XRD pattern of Sr10Fe10O27 was simulated for a wavelength of 1.5418 Å.
Neutral-atom scattering factors, no anomalous dispersion.

Atomic structure:
```
Sr10Fe10O27
1.0
3.866 0.000 0.000
0.000 7.910 0.000
0.000 0.000 19.703
Sr Fe O
10 10 27
Direct
0.000 0.233 0.000 Sr
0.000 0.235 0.802 Sr
0.000 0.243 0.600 Sr
0.000 0.250 0.203 Sr
0.000 0.258 0.406 Sr
0.000 0.742 0.406 Sr
0.000 0.750 0.203 Sr
0.000 0.757 0.600 Sr
0.000 0.765 0.802 Sr
0.000 0.767 0.000 Sr
0.500 0.000 0.104 Fe
0.500 0.000 0.303 Fe
0.500 0.000 0.500 Fe
0.500 0.000 0.702 Fe
0.500 0.000 0.901 Fe
0.500 0.500 0.103 Fe
0.500 0.500 0.302 Fe
0.500 0.500 0.502 Fe
0.500 0.500 0.697 Fe
0.500 0.500 0.910 Fe
0.000 0.000 0.104 O
0.000 0.000 0.501 O
0.000 0.000 0.702 O
0.000 0.000 0.903 O
0.000 0.500 0.299 O
0.000 0.500 0.502 O
0.000 0.500 0.719 O
0.000 0.500 0.889 O
0.500 0.000 0.001 O
0.500 0.000 0.207 O
0.500 0.000 0.397 O
0.500 0.000 0.605 O
0.500 0.000 0.802 O
0.500 0.237 0.301 O
0.500 0.248 0.502 O
0.500 0.259 0.897 O
0.500 0.260 0.709 O
0.500 0.263 0.102 O
0.500 0.500 0.007 O
0.500 0.500 0.197 O
0.500 0.500 0.403 O
0.500 0.500 0.602 O
0.500 0.737 0.102 O
0.500 0.740 0.709 O
0.500 0.741 0.897 O
0.500 0.752 0.502 O
0.500 0.763 0.301 O
```

The 8 most intense peaks (15° ≤ 2θ ≤ 90°), by angle:
2θ/deg  d/Å  intensity
32.06  2.791  46.9
32.41  2.762  100.0
45.89  1.977  17.6
46.07  1.970  17.4
47.00  1.933  17.0
57.32  1.607  18.5
57.43  1.605  18.4
58.03  1.589  17.0

Copy entry 1 word for word.
Starting from DFT lattice parameters and positions (GGA+U), the powder XRD pattern of Sr10Fe10O27 was simulated for a wavelength of 1.5418 Å.
Neutral-atom scattering factors, no anomalous dispersion.

Atomic structure:
```
Sr10Fe10O27
1.0
3.866 0.000 0.000
0.000 7.910 0.000
0.000 0.000 19.703
Sr Fe O
10 10 27
Direct
0.000 0.233 0.000 Sr
0.000 0.235 0.802 Sr
0.000 0.243 0.600 Sr
0.000 0.250 0.203 Sr
0.000 0.258 0.406 Sr
0.000 0.742 0.406 Sr
0.000 0.750 0.203 Sr
0.000 0.757 0.600 Sr
0.000 0.765 0.802 Sr
0.000 0.767 0.000 Sr
0.500 0.000 0.104 Fe
0.500 0.000 0.303 Fe
0.500 0.000 0.500 Fe
0.500 0.000 0.702 Fe
0.500 0.000 0.901 Fe
0.500 0.500 0.103 Fe
0.500 0.500 0.302 Fe
0.500 0.500 0.502 Fe
0.500 0.500 0.697 Fe
0.500 0.500 0.910 Fe
0.000 0.000 0.104 O
0.000 0.000 0.501 O
0.000 0.000 0.702 O
0.000 0.000 0.903 O
0.000 0.500 0.299 O
0.000 0.500 0.502 O
0.000 0.500 0.719 O
0.000 0.500 0.889 O
0.500 0.000 0.001 O
0.500 0.000 0.207 O
0.500 0.000 0.397 O
0.500 0.000 0.605 O
0.500 0.000 0.802 O
0.500 0.237 0.301 O
0.500 0.248 0.502 O
0.500 0.259 0.897 O
0.500 0.260 0.709 O
0.500 0.263 0.102 O
0.500 0.500 0.007 O
0.500 0.500 0.197 O
0.500 0.500 0.403 O
0.500 0.500 0.602 O
0.500 0.737 0.102 O
0.500 0.740 0.709 O
0.500 0.741 0.897 O
0.500 0.752 0.502 O
0.500 0.763 0.301 O
```

The 8 most intense peaks (15° ≤ 2θ ≤ 90°), by angle:
2θ/deg  d/Å  intensity
32.06  2.791  46.9
32.41  2.762  100.0
45.89  1.977  17.6
46.07  1.970  17.4
47.00  1.933  17.0
57.32  1.607  18.5
57.43  1.605  18.4
58.03  1.589  17.0

- Number 1 is which compound?
  Sr10Fe10O27

- What is the formula in the second record?
  Sr4Fe4O11